LiMn3O5: theoretical X-ray diffraction stick pattern (Cu Kα), based on a DFT-relaxed cell (PBE+U, Alexandria).

Structural model:
Unit cell a=10.0068 b=13.3581 c=2.9447 alpha=90.00 beta=90.00 gamma=90.00
Positions (direct):
1 Li 0.2285 0.1364 0.0000
2 Li 0.2715 0.6364 0.0000
3 Li 0.7285 0.3636 0.0000
4 Li 0.7715 0.8636 0.0000
5 Mn 0.0000 0.0000 0.5000
6 Mn 0.0000 0.5000 0.0000
7 Mn 0.0081 0.2897 0.5000
8 Mn 0.2364 0.8838 0.0000
9 Mn 0.2636 0.3838 0.0000
10 Mn 0.4919 0.7897 0.5000
11 Mn 0.5000 0.0000 0.0000
12 Mn 0.5000 0.5000 0.5000
13 Mn 0.5081 0.2103 0.5000
14 Mn 0.7364 0.6162 0.0000
15 Mn 0.7636 0.1162 0.0000
16 Mn 0.9919 0.7103 0.5000
17 O 0.0852 0.6390 0.0000
18 O 0.1204 0.8384 0.5000
19 O 0.1255 0.0199 0.0000
20 O 0.1297 0.2550 0.0000
21 O 0.1383 0.4374 0.5000
22 O 0.3617 0.9374 0.5000
23 O 0.3703 0.7550 0.0000
24 O 0.3745 0.5199 0.0000
25 O 0.3796 0.3384 0.5000
26 O 0.4148 0.1390 0.0000
27 O 0.5852 0.8610 0.0000
28 O 0.6204 0.6616 0.5000
29 O 0.6255 0.4801 0.0000
30 O 0.6297 0.2450 0.0000
31 O 0.6383 0.0626 0.5000
32 O 0.8617 0.5626 0.5000
33 O 0.8703 0.7450 0.0000
34 O 0.8745 0.9801 0.0000
35 O 0.8796 0.1616 0.5000
36 O 0.9148 0.3610 0.0000

Most intense lines, 15 to 90 degrees two-theta, in order of rising 2θ:
16.0°, I = 100, hkl 1 2 0
17.7°, I = 34, hkl 2 0 0
32.2°, I = 84, hkl 2 4 0
35.4°, I = 40, hkl 2 0 1
43.2°, I = 30, hkl 3 2 1
45.9°, I = 39, hkl 3 3 1